This entry pairs a crystal structure of DyAgS2 with its theoretical PXRD pattern. Radiation: copper Kα. Structure: the PBE geometry in the Materials Project.

Principal peaks in the range 2θ from 10° to 90°, sorted by position:
2θ 27.23, I = 100; 2θ 28.07, I = 43; 2θ 33.16, I = 85; 2θ 43.99, I = 48; 2θ 47.61, I = 29; 2θ 55.71, I = 31

Structural model:
Cell lengths 7.645, 7.636, 12.714 Å; angles 90.00, 90.09, 90.00 degrees
Atoms (fractional coordinates):
Dy: 0.002 0.000 0.246
Dy: 0.247 0.246 0.503
Dy: 0.254 0.748 0.003
Dy: 0.498 0.992 0.747
Dy: 0.502 0.492 0.253
Dy: 0.746 0.248 0.997
Dy: 0.753 0.746 0.497
Dy: 0.998 0.500 0.754
Ag: 0.002 0.996 0.697
Ag: 0.246 0.246 0.031
Ag: 0.255 0.745 0.528
Ag: 0.499 0.995 0.210
Ag: 0.501 0.495 0.790
Ag: 0.745 0.245 0.472
Ag: 0.754 0.746 0.969
Ag: 0.998 0.496 0.303
S: 0.019 0.016 0.029
S: 0.024 0.520 0.536
S: 0.228 0.226 0.721
S: 0.228 0.269 0.287
S: 0.272 0.723 0.787
S: 0.272 0.766 0.222
S: 0.476 0.473 0.036
S: 0.480 0.976 0.529
S: 0.520 0.476 0.471
S: 0.524 0.973 0.964
S: 0.728 0.223 0.213
S: 0.728 0.266 0.778
S: 0.772 0.726 0.279
S: 0.772 0.769 0.713
S: 0.976 0.020 0.464
S: 0.981 0.516 0.971